(1)
# K3RhO8
Simulated powder diffraction line list, Cu Kα (λ = 1.5418 Å). Input: a cell relaxed with GGA-PBE.
No peak broadening, texture or thermal motion is included.

Crystal structure
Cell lengths 6.337, 6.337, 6.337 Å; angles 113.27, 113.27, 102.12 degrees
Atoms (fractional coordinates):
K: 0.000 0.000 0.000
K: 0.250 0.750 0.500
K: 0.750 0.250 0.500
Rh: 0.500 0.500 0.000
O: 0.152 0.446 0.000
O: 0.256 0.669 0.000
O: 0.331 0.331 0.587
O: 0.446 0.152 0.000
O: 0.554 0.554 0.706
O: 0.669 0.256 0.000
O: 0.744 0.744 0.413
O: 0.848 0.848 0.294

The 10 most intense peaks (2θ = 10–90°), low angle first:
2θ = 16.9°, rel. 70.0
2θ = 18.0°, rel. 29.9
2θ = 25.6°, rel. 31.9
2θ = 28.8°, rel. 100.0
2θ = 30.8°, rel. 19.0
2θ = 36.5°, rel. 42.5
2θ = 47.1°, rel. 59.2
2θ = 53.0°, rel. 12.5
2θ = 59.7°, rel. 15.1
2θ = 73.2°, rel. 14.2

***

(2)
# KRhO3
Simulated powder diffraction line list, Cu Kα (λ = 1.5418 Å). Input: a cell relaxed with GGA-PBE.
No peak broadening, texture or thermal motion is included.

Crystal structure
Cell lengths 3.084, 3.778, 5.837 Å; angles 90.00, 90.00, 90.00 degrees
Atoms (fractional coordinates):
K: 0.000 0.000 0.000
Rh: 0.000 0.500 0.500
O: 0.000 0.000 0.500
O: 0.500 0.500 0.275
O: 0.500 0.500 0.725

The 10 most intense peaks (2θ = 10–90°), low angle first:
2θ = 15.2°, rel. 92.6
2θ = 23.5°, rel. 28.8
2θ = 28.1°, rel. 100.0
2θ = 29.0°, rel. 42.7
2θ = 30.6°, rel. 37.7
2θ = 40.8°, rel. 61.2
2θ = 42.6°, rel. 63.2
2θ = 48.2°, rel. 21.7
2θ = 61.5°, rel. 23.1
2θ = 66.3°, rel. 29.4

***

(3)
# KRh4O8
Simulated powder diffraction line list, Cu Kα (λ = 1.5418 Å). Input: a cell relaxed with GGA-PBE.
No peak broadening, texture or thermal motion is included.

Crystal structure
Cell lengths 7.326, 7.326, 7.326 Å; angles 92.64, 92.64, 155.19 degrees
Atoms (fractional coordinates):
K: 0.000 0.000 0.000
Rh: 0.149 0.666 0.815
Rh: 0.334 0.149 0.483
Rh: 0.666 0.851 0.517
Rh: 0.851 0.334 0.185
O: 0.045 0.338 0.384
O: 0.299 0.349 0.648
O: 0.338 0.955 0.293
O: 0.349 0.701 0.049
O: 0.651 0.299 0.951
O: 0.662 0.045 0.707
O: 0.701 0.651 0.352
O: 0.955 0.662 0.616

The 10 most intense peaks (2θ = 10–90°), low angle first:
2θ = 12.4°, rel. 43.9
2θ = 17.5°, rel. 40.1
2θ = 27.9°, rel. 80.9
2θ = 34.7°, rel. 100.0
2θ = 35.5°, rel. 20.2
2θ = 37.7°, rel. 17.4
2θ = 46.9°, rel. 39.2
2θ = 54.4°, rel. 18.5
2θ = 57.1°, rel. 44.6
2θ = 66.2°, rel. 39.0

***

(4)
# KRuRhO6
Simulated powder diffraction line list, Cu Kα (λ = 1.5418 Å). Input: a cell relaxed with GGA-PBE.
No peak broadening, texture or thermal motion is included.

Crystal structure
Cell lengths 5.313, 5.313, 5.804 Å; angles 90.00, 90.00, 120.00 degrees
Atoms (fractional coordinates):
K: 0.000 0.000 0.000
Ru: 0.333 0.667 0.500
Rh: 0.667 0.333 0.500
O: 0.008 0.394 0.680
O: 0.008 0.613 0.320
O: 0.387 0.394 0.320
O: 0.387 0.992 0.680
O: 0.606 0.613 0.680
O: 0.606 0.992 0.320

The 10 most intense peaks (2θ = 10–90°), low angle first:
2θ = 15.3°, rel. 99.7
2θ = 19.3°, rel. 25.8
2θ = 24.7°, rel. 100.0
2θ = 33.7°, rel. 38.3
2θ = 37.2°, rel. 37.7
2θ = 42.3°, rel. 15.3
2θ = 46.3°, rel. 57.8
2θ = 55.1°, rel. 19.0
2θ = 59.1°, rel. 15.3
2θ = 62.7°, rel. 20.3

***

(5)
# K2RuRhO6
Simulated powder diffraction line list, Cu Kα (λ = 1.5418 Å). Input: a cell relaxed with GGA-PBE.
No peak broadening, texture or thermal motion is included.

Crystal structure
Cell lengths 5.589, 5.589, 5.589 Å; angles 119.91, 119.91, 90.16 degrees
Atoms (fractional coordinates):
K: 0.250 0.750 0.500
K: 0.750 0.250 0.500
Ru: 0.000 0.000 0.000
Rh: 0.500 0.500 0.000
O: 0.245 0.245 0.000
O: 0.245 0.245 0.489
O: 0.245 0.755 0.000
O: 0.755 0.245 0.000
O: 0.755 0.755 0.000
O: 0.755 0.755 0.511

The 10 most intense peaks (2θ = 10–90°), low angle first:
2θ = 22.5°, rel. 48.9
2θ = 32.0°, rel. 100.0
2θ = 45.9°, rel. 26.1
2θ = 46.0°, rel. 12.9
2θ = 51.7°, rel. 13.3
2θ = 57.1°, rel. 37.1
2θ = 66.9°, rel. 7.4
2θ = 67.0°, rel. 14.7
2θ = 76.1°, rel. 10.5
2θ = 85.0°, rel. 7.2

***

(6)
# K4Sm3RhO8
Simulated powder diffraction line list, Cu Kα (λ = 1.5418 Å). Input: a cell relaxed with GGA-PBE.
No peak broadening, texture or thermal motion is included.

Crystal structure
Cell lengths 7.432, 7.432, 7.432 Å; angles 55.79, 55.79, 55.79 degrees
Atoms (fractional coordinates):
K: 0.000 0.000 0.000
K: 0.000 0.500 0.500
K: 0.500 0.000 0.500
K: 0.500 0.500 0.000
Sm: 0.000 0.000 0.500
Sm: 0.000 0.500 0.000
Sm: 0.500 0.000 0.000
Rh: 0.500 0.500 0.500
O: 0.231 0.231 0.231
O: 0.246 0.722 0.722
O: 0.278 0.278 0.754
O: 0.278 0.754 0.278
O: 0.722 0.246 0.722
O: 0.722 0.722 0.246
O: 0.754 0.278 0.278
O: 0.769 0.769 0.769

The 10 most intense peaks (2θ = 10–90°), low angle first:
2θ = 14.2°, rel. 85.5
2θ = 28.5°, rel. 32.7
2θ = 30.1°, rel. 30.9
2θ = 31.2°, rel. 69.9
2θ = 35.4°, rel. 100.0
2θ = 45.3°, rel. 17.6
2θ = 49.2°, rel. 33.5
2θ = 52.6°, rel. 30.9
2θ = 54.8°, rel. 16.3
2θ = 61.0°, rel. 23.4

***

Repeat the sixth record exactly.
# K4Sm3RhO8
Simulated powder diffraction line list, Cu Kα (λ = 1.5418 Å). Input: a cell relaxed with GGA-PBE.
No peak broadening, texture or thermal motion is included.

Crystal structure
Cell lengths 7.432, 7.432, 7.432 Å; angles 55.79, 55.79, 55.79 degrees
Atoms (fractional coordinates):
K: 0.000 0.000 0.000
K: 0.000 0.500 0.500
K: 0.500 0.000 0.500
K: 0.500 0.500 0.000
Sm: 0.000 0.000 0.500
Sm: 0.000 0.500 0.000
Sm: 0.500 0.000 0.000
Rh: 0.500 0.500 0.500
O: 0.231 0.231 0.231
O: 0.246 0.722 0.722
O: 0.278 0.278 0.754
O: 0.278 0.754 0.278
O: 0.722 0.246 0.722
O: 0.722 0.722 0.246
O: 0.754 0.278 0.278
O: 0.769 0.769 0.769

The 10 most intense peaks (2θ = 10–90°), low angle first:
2θ = 14.2°, rel. 85.5
2θ = 28.5°, rel. 32.7
2θ = 30.1°, rel. 30.9
2θ = 31.2°, rel. 69.9
2θ = 35.4°, rel. 100.0
2θ = 45.3°, rel. 17.6
2θ = 49.2°, rel. 33.5
2θ = 52.6°, rel. 30.9
2θ = 54.8°, rel. 16.3
2θ = 61.0°, rel. 23.4

***

Copy entry 3 word for word.
# KRh4O8
Simulated powder diffraction line list, Cu Kα (λ = 1.5418 Å). Input: a cell relaxed with GGA-PBE.
No peak broadening, texture or thermal motion is included.

Crystal structure
Cell lengths 7.326, 7.326, 7.326 Å; angles 92.64, 92.64, 155.19 degrees
Atoms (fractional coordinates):
K: 0.000 0.000 0.000
Rh: 0.149 0.666 0.815
Rh: 0.334 0.149 0.483
Rh: 0.666 0.851 0.517
Rh: 0.851 0.334 0.185
O: 0.045 0.338 0.384
O: 0.299 0.349 0.648
O: 0.338 0.955 0.293
O: 0.349 0.701 0.049
O: 0.651 0.299 0.951
O: 0.662 0.045 0.707
O: 0.701 0.651 0.352
O: 0.955 0.662 0.616

The 10 most intense peaks (2θ = 10–90°), low angle first:
2θ = 12.4°, rel. 43.9
2θ = 17.5°, rel. 40.1
2θ = 27.9°, rel. 80.9
2θ = 34.7°, rel. 100.0
2θ = 35.5°, rel. 20.2
2θ = 37.7°, rel. 17.4
2θ = 46.9°, rel. 39.2
2θ = 54.4°, rel. 18.5
2θ = 57.1°, rel. 44.6
2θ = 66.2°, rel. 39.0